(1)
This entry pairs a crystal structure of Sn5Au6 with its computed powder X-ray diffraction pattern. Radiation: Cu Kα. Structure: a structure optimized by DFT (PBE).
Neutral-atom scattering factors, no anomalous dispersion.

Main lines, in order of rising 2θ (2θ from 10° to 90°):
d/Å, I/Imax
2.903, 52
2.811, 100
2.787, 45
2.724, 21
2.477, 23
2.265, 69
2.204, 40
2.170, 24
2.076, 49
1.813, 26

Cell and atoms:
a = 29.7318 Å, b = 4.1525 Å, c = 4.1035 Å
α = 90.00°, β = 91.26°, γ = 90.00°
Space group C2/m (No. 12)
Unique sites:
Sn 0.0000 0.0000 0.0000 (multiplicity 2)
Sn 0.1226 0.5000 0.9635 (multiplicity 4)
Sn 0.1985 0.0000 0.4369 (multiplicity 4)
Au 0.0437 0.5000 0.6009 (multiplicity 4)
Au 0.1021 0.0000 0.3916 (multiplicity 4)
Au 0.2165 0.5000 0.9016 (multiplicity 4)


(2)
This entry pairs a crystal structure of NdPd7Pb3 with its computed powder X-ray diffraction pattern. Radiation: Cu Kα. Structure: a structure optimized by DFT (PBE).
Neutral-atom scattering factors, no anomalous dispersion.

Main lines, in order of rising 2θ (2θ from 10° to 90°):
d/Å, I/Imax
3.961, 23
3.116, 40
2.751, 72
2.675, 27
2.501, 75
2.395, 100
2.158, 17
1.967, 43
1.850, 41
1.680, 19

Cell and atoms:
a = 8.5557 Å, b = 10.0020 Å, c = 5.7787 Å
α = 90.00°, β = 112.21°, γ = 90.00°
Space group C2/m (No. 12)
Unique sites:
Nd 0.0000 0.0000 0.0000 (multiplicity 2)
Pd 0.0000 0.0000 0.5000 (multiplicity 2)
Pd 0.1763 0.2647 0.1769 (multiplicity 8)
Pd 0.1909 0.5000 0.5436 (multiplicity 4)
Pb 0.0000 0.2695 0.5000 (multiplicity 4)
Pb 0.0000 0.5000 0.0000 (multiplicity 2)


(3)
This entry pairs a crystal structure of Na5TlPb with its computed powder X-ray diffraction pattern. Radiation: Cu Kα. Structure: a structure optimized by DFT (PBE).
Neutral-atom scattering factors, no anomalous dispersion.

Main lines, in order of rising 2θ (2θ from 10° to 90°):
d/Å, I/Imax
5.264, 29
4.562, 37
4.313, 100
3.467, 18
2.819, 21
2.809, 26
2.651, 41
2.583, 30
2.385, 21
1.924, 22

Cell and atoms:
a = 9.1246 Å, b = 7.4140 Å, c = 13.0327 Å
α = 90.00°, β = 90.00°, γ = 90.00°
Space group Cmcm (No. 63)
Unique sites:
Na 0.0000 0.0622 0.2500 (multiplicity 4)
Na 0.2029 0.3494 0.1086 (multiplicity 16)
Tl 0.0000 0.3581 0.7500 (multiplicity 4)
Pb 0.0000 0.0000 0.0000 (multiplicity 4)